Theoretical PXRD pattern of MgZn4Se5 for copper Kα, from a PBE-relaxed structure.
Peak positions follow from Bragg's law for the DFT cell and can differ from measured ones.

Principal peaks in the range 2θ from 15° to 90°, low angle first:
d [Å]	2θ/deg	I/Imax
3.538	25.17	100.0
3.359	26.54	55.8
3.130	28.51	69.7
2.436	36.90	34.9
2.043	44.35	84.8
1.892	48.09	79.6
1.745	52.43	49.1
1.388	67.47	27.8
1.256	75.72	16.9
1.148	84.36	30.0

Structural model:
```
20
Lattice="4.0853 0.0000 0.0000 -2.0427 3.5380 0.0000 0.0000 0.0000 33.5896" Properties=species:S:1:pos:R:3 pbc="T T T"
Mg 0.0000 0.0000 0.0000
Mg 0.0000 0.0000 6.8611
Zn 0.0000 0.0000 13.6033
Zn 0.0000 0.0000 20.2262
Zn 0.0000 0.0000 26.8457
Zn 0.0000 2.3587 3.4236
Zn 0.0000 2.3587 10.2924
Zn 0.0000 2.3587 16.9151
Zn 0.0000 2.3587 23.5360
Zn 0.0000 2.3587 30.1528
Se 0.0000 0.0000 4.2551
Se 0.0000 0.0000 11.1132
Se 0.0000 0.0000 17.7353
Se 0.0000 0.0000 24.3537
Se 0.0000 0.0000 30.9828
Se 0.0000 2.3587 0.9427
Se 0.0000 2.3587 7.8101
Se 0.0000 2.3587 14.4248
Se 0.0000 2.3587 21.0449
Se 0.0000 2.3587 27.6621
```

Theoretical PXRD pattern of Mg8Zn4Se for copper Kα, from a PBE-relaxed structure.
Peak positions follow from Bragg's law for the DFT cell and can differ from measured ones.

Principal peaks in the range 2θ from 15° to 90°, low angle first:
d [Å]	2θ/deg	I/Imax
3.885	22.89	100.0
3.301	27.01	51.2
3.283	27.16	33.1
2.691	33.30	36.0
2.545	35.27	95.9
2.531	35.46	94.5
2.466	36.44	71.3
2.451	36.67	75.0
2.112	42.82	80.1
2.006	45.19	49.8

Structural model:
```
13
Lattice="4.2244 0.0000 0.0000 -2.0689 7.9378 0.0000 -2.0772 -1.5915 8.0068" Properties=species:S:1:pos:R:3 pbc="T T T"
Mg 0.0114 1.6130 0.0039
Mg -2.0650 6.1879 3.2094
Mg -2.0601 2.9009 6.6694
Mg -2.0437 6.1981 6.3850
Mg 2.1219 0.1482 1.6218
Mg 2.1383 3.4454 1.3373
Mg 2.1432 0.1584 4.7973
Mg 0.0668 4.7333 8.0029
Zn 0.0184 1.4096 3.0825
Zn 0.0343 5.3136 1.4879
Zn 0.0439 1.0327 6.5189
Zn 0.0598 4.9367 4.9243
Se -2.0731 3.1731 4.0034
```

Theoretical PXRD pattern of Mg2ZnSe9 for copper Kα, from a PBE-relaxed structure.
Peak positions follow from Bragg's law for the DFT cell and can differ from measured ones.

Principal peaks in the range 2θ from 15° to 90°, low angle first:
d [Å]	2θ/deg	I/Imax
4.007	22.18	60.6
3.307	26.96	35.5
2.994	29.84	50.3
2.664	33.64	100.0
2.559	35.06	37.5
2.292	39.32	36.7
2.049	44.20	28.5
1.914	47.50	29.9
1.910	47.62	48.0
1.855	49.12	31.2

Structural model:
```
12
Lattice="6.9552 -3.7098 0.0000 6.9552 3.7098 0.0000 -1.6370 0.0000 5.6634" Properties=species:S:1:pos:R:3 pbc="T T T"
Mg 2.2392 0.0000 0.1828
Mg 10.0341 0.0000 5.4806
Zn -0.8185 0.0000 2.8317
Se 4.5390 2.0186 3.9599
Se 1.7556 0.0000 3.4089
Se 7.7343 2.0186 1.7035
Se 4.6077 0.0000 1.2122
Se 6.9552 0.0000 0.0000
Se 7.6656 0.0000 4.4512
Se 4.5390 -2.0186 3.9599
Se 10.5177 0.0000 2.2545
Se 7.7343 -2.0186 1.7035
```

Theoretical PXRD pattern of MgZn4Se8 for copper Kα, from a PBE-relaxed structure.
Peak positions follow from Bragg's law for the DFT cell and can differ from measured ones.

Principal peaks in the range 2θ from 15° to 90°, low angle first:
d [Å]	2θ/deg	I/Imax
4.661	19.04	47.6
3.474	25.64	40.8
3.300	27.02	100.0
3.016	29.62	63.3
2.791	32.07	28.7
2.334	38.58	65.0
1.972	46.03	37.9
1.905	47.75	29.1
1.844	49.42	42.6
1.789	51.06	21.7

Structural model:
```
13
Lattice="-7.3696 7.3696 1.9103 7.3696 -7.3696 1.9103 7.3696 7.3696 -1.9103" Properties=species:S:1:pos:R:3 pbc="T T T"
Mg 0.0000 0.0000 0.0000
Zn 8.6507 1.8798 0.0000
Zn 1.8798 6.0885 0.0000
Zn 5.4898 1.2811 1.9103
Zn -1.2811 5.4898 1.9103
Se 4.6235 0.0315 0.0000
Se 10.3308 3.9489 0.0000
Se 3.9489 4.4085 0.0000
Se 7.3381 -2.7461 1.9103
Se 0.0315 10.1157 0.0000
Se 3.4207 2.9612 1.9103
Se -2.9612 3.4207 1.9103
Se 2.7461 7.3381 1.9103
```

Theoretical PXRD pattern of Mg2ZnSe4 for copper Kα, from a PBE-relaxed structure.
Peak positions follow from Bragg's law for the DFT cell and can differ from measured ones.

Principal peaks in the range 2θ from 15° to 90°, low angle first:
d [Å]	2θ/deg	I/Imax
3.741	23.78	70.6
2.799	31.98	100.0
2.506	35.84	42.6
2.386	37.70	35.3
2.012	45.07	18.9
1.923	47.28	32.8
1.854	49.15	31.0
1.599	57.65	35.9
1.368	68.58	21.2
1.106	88.42	21.4

Structural model:
```
7
Lattice="-3.3743 3.3743 3.7411 3.3743 -3.3743 3.7411 3.3743 3.3743 -3.7411" Properties=species:S:1:pos:R:3 pbc="T T T"
Mg 3.3743 0.0000 1.8706
Mg 0.0000 3.3743 1.8706
Zn 0.0000 0.0000 0.0000
Se 4.6483 1.3620 0.0000
Se 1.3620 2.1003 0.0000
Se 2.0123 1.2740 3.7411
Se -1.2740 2.0123 3.7411
```

Theoretical PXRD pattern of Mg4Si3 for copper Kα, from a PBE-relaxed structure.
Peak positions follow from Bragg's law for the DFT cell and can differ from measured ones.

Principal peaks in the range 2θ from 15° to 90°, low angle first:
d [Å]	2θ/deg	I/Imax
2.808	31.87	49.2
2.726	32.85	92.1
2.657	33.73	54.1
2.637	33.99	63.5
2.575	34.84	93.2
2.472	36.34	46.5
2.410	37.31	100.0
2.166	41.71	60.6
2.069	43.76	46.8
2.051	44.15	43.3

Structural model:
```
14
Lattice="6.1377 0.0000 0.0000 -1.3394 6.5351 0.0000 -1.3144 -2.3304 7.0685" Properties=species:S:1:pos:R:3 pbc="T T T"
Mg 0.0000 0.0000 0.0000
Mg -1.4989 3.1476 3.9463
Mg -0.4438 3.5898 1.0481
Mg -0.1218 0.4965 5.4689
Mg 1.5829 -0.7463 3.1124
Mg 1.5409 2.9513 4.1714
Mg 2.7419 1.6809 1.4380
Mg 3.2844 5.6005 2.6561
Si 0.0448 1.3589 2.4974
Si -0.0860 4.6348 5.7011
Si 1.3794 5.6307 0.6466
Si 3.0679 4.0152 0.2292
Si 3.4355 -0.9843 5.1502
Si 3.3465 1.4064 5.5199
```

Theoretical PXRD pattern of Mg4Si3 for copper Kα, from a PBE-relaxed structure.
Peak positions follow from Bragg's law for the DFT cell and can differ from measured ones.

Principal peaks in the range 2θ from 15° to 90°, low angle first:
d [Å]	2θ/deg	I/Imax
2.699	33.19	27.6
2.585	34.70	31.6
2.521	35.61	55.7
2.498	35.95	100.0
2.424	37.09	80.4
2.369	37.99	63.1
2.343	38.42	28.3
2.234	40.38	56.4
2.225	40.54	61.6
2.100	43.06	37.0

Structural model:
```
14
Lattice="4.3338 -6.7017 0.0000 4.3338 6.7017 0.0000 -2.6438 0.0000 4.5539" Properties=species:S:1:pos:R:3 pbc="T T T"
Mg 0.0000 0.0000 0.0000
Mg 2.8785 4.2113 0.5586
Mg -0.3560 1.6331 3.3118
Mg -0.3560 -1.6331 3.3118
Mg 4.5036 1.8955 2.0190
Mg 2.4711 0.0000 3.9264
Mg 2.8785 -4.2113 0.5586
Mg 4.5036 -1.8955 2.0190
Si 1.4126 2.0811 1.3697
Si 2.2139 2.9282 3.6190
Si 2.6600 0.0000 0.9852
Si 1.4126 -2.0811 1.3697
Si 2.2139 -2.9282 3.6190
Si 6.5730 0.0000 1.7952
```

Theoretical PXRD pattern of Mg5Si6 for copper Kα, from a PBE-relaxed structure.
Peak positions follow from Bragg's law for the DFT cell and can differ from measured ones.

Principal peaks in the range 2θ from 15° to 90°, low angle first:
d [Å]	2θ/deg	I/Imax
2.590	34.63	23.4
2.541	35.32	68.1
2.532	35.45	100.0
2.504	35.86	94.1
2.364	38.07	53.0
2.238	40.29	26.2
2.227	40.50	42.7
2.109	42.88	27.9
2.006	45.19	68.5
1.462	63.66	20.3

Structural model:
```
22
Lattice="15.0302 -2.0063 0.0000 15.0302 2.0063 0.0000 -1.3718 0.0000 6.7147" Properties=species:S:1:pos:R:3 pbc="T T T"
Mg 0.0000 0.0000 0.0000
Mg 5.3908 0.0000 5.4146
Mg 7.1565 0.0000 2.2149
Mg 8.8985 0.0000 5.2373
Mg 10.6567 0.0000 2.0005
Mg 14.9271 0.0000 4.2078
Mg 17.2612 0.0000 1.0618
Mg 17.9308 0.0000 4.7595
Mg 23.7125 0.0000 0.3608
Mg 28.2233 0.0000 2.5482
Si 1.2380 0.0000 2.8191
Si 1.1054 0.0000 5.5856
Si 3.7693 0.0000 2.8155
Si 4.3378 0.0000 0.3915
Si 13.1306 0.0000 0.5053
Si 12.2764 0.0000 4.7330
Si 20.1997 0.0000 2.9131
Si 20.8565 0.0000 0.5227
Si 22.0861 0.0000 4.3903
Si 24.0283 0.0000 3.0487
Si 26.5661 0.0000 0.1613
Si 25.9575 0.0000 4.5002
```